Diffraction record for Dy3SnBi. The powder diffractogram is theoretical, not measured: it uses a DFT-relaxed cell (GGA-PBE, Alexandria) and Cu Kα (λ = 1.5418 Å).

Principal peaks in the range 10° ≤ 2θ ≤ 80°, by angle:
d 4.477, I = 59; d 2.779, I = 55; d 2.696, I = 79; d 2.673, I = 100; d 2.319, I = 39; d 2.297, I = 32

Structural model:
Lattice parameters (Å, degrees): 8.8976 8.8976 8.6193 94.28 94.28 30.22
Element x y z (fractional)
1 Dy 0.0373 0.0373 0.2494
2 Dy 0.1744 0.1744 0.9456
3 Dy 0.2576 0.2576 0.3444
4 Dy 0.7424 0.7424 0.6556
5 Dy 0.8256 0.8256 0.0544
6 Dy 0.9627 0.9627 0.7506
7 Sn 0.3488 0.3488 0.8226
8 Sn 0.6512 0.6512 0.1774
9 Bi 0.1168 0.1168 0.5872
10 Bi 0.8832 0.8832 0.4128

Diffraction record for Tb3DyBi2. The powder diffractogram is theoretical, not measured: it uses a DFT-relaxed cell (GGA-PBE, Alexandria) and Cu Kα (λ = 1.5418 Å).

Principal peaks in the range 10° ≤ 2θ ≤ 80°, by angle:
d 3.021, I = 80; d 2.888, I = 39; d 2.586, I = 100; d 2.279, I = 59; d 1.789, I = 39; d 1.368, I = 28

Structural model:
Lattice parameters (Å, degrees): 4.5577 4.5577 8.6632 90.00 90.00 90.00
Element x y z (fractional)
1 Tb 0.0000 0.0000 0.0000
2 Tb 0.0000 0.5000 0.6528
3 Tb 0.5000 0.0000 0.3472
4 Dy 0.5000 0.5000 0.0000
5 Bi 0.0000 0.5000 0.2832
6 Bi 0.5000 0.0000 0.7168

Diffraction record for TbDy2Bi3. The powder diffractogram is theoretical, not measured: it uses a DFT-relaxed cell (GGA-PBE, Alexandria) and Cu Kα (λ = 1.5418 Å).

Principal peaks in the range 10° ≤ 2θ ≤ 80°, by angle:
d 3.166, I = 100; d 2.239, I = 78; d 1.828, I = 28; d 1.583, I = 13; d 1.416, I = 37; d 1.293, I = 28

Structural model:
Lattice parameters (Å, degrees): 4.4789 6.3292 13.4398 90.00 90.00 90.00
Element x y z (fractional)
1 Tb 0.0000 0.0000 0.0000
2 Tb 0.5000 0.5000 0.5000
3 Dy 0.0000 0.0000 0.3335
4 Dy 0.0000 0.0000 0.6665
5 Dy 0.5000 0.5000 0.1665
6 Dy 0.5000 0.5000 0.8335
7 Bi 0.0000 0.5000 0.0000
8 Bi 0.0000 0.5000 0.3328
9 Bi 0.0000 0.5000 0.6672
10 Bi 0.5000 0.0000 0.1672
11 Bi 0.5000 0.0000 0.5000
12 Bi 0.5000 0.0000 0.8328

Diffraction record for TbDy5Bi4. The powder diffractogram is theoretical, not measured: it uses a DFT-relaxed cell (GGA-PBE, Alexandria) and Cu Kα (λ = 1.5418 Å).

Principal peaks in the range 10° ≤ 2θ ≤ 80°, by angle:
d 3.667, I = 34; d 3.436, I = 30; d 2.785, I = 100; d 2.347, I = 46; d 2.200, I = 34; d 1.937, I = 30

Structural model:
Lattice parameters (Å, degrees): 10.1551 10.1551 7.7450 101.29 101.29 25.03
Element x y z (fractional)
1 Tb 0.0000 0.0000 0.0000
2 Dy 0.0000 0.0000 0.5000
3 Dy 0.3048 0.3048 0.3878
4 Dy 0.3120 0.3120 0.9134
5 Dy 0.6880 0.6880 0.0866
6 Dy 0.6952 0.6952 0.6122
7 Bi 0.1350 0.1350 0.3258
8 Bi 0.4383 0.4383 0.2208
9 Bi 0.5617 0.5617 0.7792
10 Bi 0.8650 0.8650 0.6742